Starting from a GGA-PBE-relaxed structure, the powder diffractogram of SmPuBi6 was computed for λ = 1.5418 Å (Cu Kα).
Kinematic intensities with the Lorentz-polarization factor, no thermal factor.

Atomic structure:
Cell lengths 4.6464, 4.6883, 11.8804 Å; angles 90.00, 101.17, 90.00 degrees
Space group Pm (No. 6)
Asymmetric unit:
Sm (0.0000, 0.0000, 0.0000) x1
Pu (0.1370, 0.5000, 0.2766) x1
Bi (0.2430, 0.0000, 0.4940) x1
Bi (0.3904, 0.0000, 0.7785) x1
Bi (0.5176, 0.5000, 0.0359) x1
Bi (0.6228, 0.0000, 0.2471) x1
Bi (0.7427, 0.5000, 0.4909) x1
Bi (0.8926, 0.5000, 0.7797) x1

Principal peaks in the range 10° ≤ 2θ ≤ 80°, sorted by position:
2θ (°)	d [Å]	Rel. int.
27.3	3.268	22
29.4	3.038	71
30.7	2.914	42
33.3	2.694	100
38.4	2.344	40
38.8	2.323	28
49.9	1.826	23
50.2	1.816	22
58.6	1.576	24
64.9	1.436	21